Calculated powder diffraction line list
Compound: HfScRu
Radiation: Cu Kα X-rays
Structure: a GGA-PBE-relaxed structure
Peak positions follow from Bragg's law for the DFT cell and can differ from measured ones.

Crystal structure
Unit cell a=11.1338 b=3.2657 c=7.4610 alpha=90.00 beta=119.59 gamma=90.00
Positions (direct):
Hf1 0.0000 0.0000 0.0000
Hf2 0.0640 0.5000 0.6807
Hf3 0.5000 0.5000 0.0000
Hf4 0.5640 0.0000 0.6807
Sc1 0.2577 0.0000 0.5644
Sc2 0.3150 0.5000 0.2376
Sc3 0.7577 0.5000 0.5644
Sc4 0.8150 0.0000 0.2376
Ru1 0.0457 0.5000 0.3155
Ru2 0.2715 0.0000 0.9221
Ru3 0.5457 0.0000 0.3155
Ru4 0.7715 0.5000 0.9221

Top 6 peaks for 2θ from 10° to 80°, most intense first:
| hkl | 2θ/deg | I/Imax |
| --- | --- | --- |
| 3 1 0 | 39.28 | 100 |
| 3 1 -1 | 36.66 | 92 |
| 1 1 1 | 34.01 | 90 |
| 2 0 0 | 18.33 | 78 |
| 4 0 0 | 37.14 | 62 |
| 1 1 2 | 43.49 | 60 |